No. 1
Diffraction record for Ce5Ga5C. The XRD peak list is theoretical, not measured: it uses a structure optimized by DFT (GGA-PBE) and Cu Kα.
Intensities are scaled so that the largest is 1000.

Main lines, in order of falling intensity (2θ = 10–90°):
- 2θ = 33.5°, rel. 1000
- 2θ = 33.9°, rel. 709
- 2θ = 38.5°, rel. 636
- 2θ = 26.7°, rel. 499
- 2θ = 40.1°, rel. 237
- 2θ = 37.2°, rel. 223

Structure:
abc: 5.344 5.344 9.664
angles: 90.00 90.00 120.00
Element x y z (fractional)
Ce1 0.000 0.000 0.000
Ce2 0.333 0.667 0.270
Ce3 0.333 0.667 0.730
Ce4 0.667 0.333 0.193
Ce5 0.667 0.333 0.807
Ga1 0.000 0.000 0.289
Ga2 0.000 0.000 0.711
Ga3 0.350 0.175 0.500
Ga4 0.825 0.175 0.500
Ga5 0.825 0.650 0.500
C1 0.333 0.667 0.000

***

No. 2
Diffraction record for Ce4GaC2. The XRD peak list is theoretical, not measured: it uses a structure optimized by DFT (GGA-PBE) and Cu Kα.
Intensities are scaled so that the largest is 1000.

Main lines, in order of falling intensity (2θ = 10–90°):
- 2θ = 32.4°, rel. 1000
- 2θ = 33.2°, rel. 990
- 2θ = 30.7°, rel. 936
- 2θ = 32.0°, rel. 441
- 2θ = 28.6°, rel. 364
- 2θ = 59.3°, rel. 290

Structure:
abc: 6.455 6.455 13.220
angles: 90.00 90.00 146.67
Element x y z (fractional)
Ce1 0.000 0.000 0.000
Ce2 0.000 0.000 0.500
Ce3 0.268 0.732 0.603
Ce4 0.268 0.732 0.897
Ce5 0.416 0.584 0.250
Ce6 0.584 0.416 0.750
Ce7 0.732 0.268 0.103
Ce8 0.732 0.268 0.397
Ga1 0.108 0.892 0.250
Ga2 0.892 0.108 0.750
C1 0.366 0.634 0.065
C2 0.366 0.634 0.435
C3 0.634 0.366 0.565
C4 0.634 0.366 0.935

***

No. 3
Diffraction record for Ce5Ga2C2. The XRD peak list is theoretical, not measured: it uses a structure optimized by DFT (GGA-PBE) and Cu Kα.
Intensities are scaled so that the largest is 1000.

Main lines, in order of falling intensity (2θ = 10–90°):
- 2θ = 32.3°, rel. 1000
- 2θ = 32.9°, rel. 990
- 2θ = 37.9°, rel. 717
- 2θ = 54.5°, rel. 502
- 2θ = 37.6°, rel. 379
- 2θ = 64.5°, rel. 378

Structure:
abc: 8.324 7.579 5.815
angles: 75.58 61.85 42.57
Element x y z (fractional)
Ce1 0.000 0.000 0.000
Ce2 0.134 0.134 0.366
Ce3 0.366 0.366 0.134
Ce4 0.634 0.634 0.866
Ce5 0.866 0.866 0.634
Ga1 0.242 0.242 0.758
Ga2 0.758 0.758 0.242
C1 0.242 0.758 0.242
C2 0.758 0.242 0.758

***

No. 4
Diffraction record for Ce4GaC2. The XRD peak list is theoretical, not measured: it uses a structure optimized by DFT (GGA-PBE) and Cu Kα.
Intensities are scaled so that the largest is 1000.

Main lines, in order of falling intensity (2θ = 10–90°):
- 2θ = 29.4°, rel. 1000
- 2θ = 33.2°, rel. 907
- 2θ = 32.7°, rel. 849
- 2θ = 20.9°, rel. 547
- 2θ = 39.4°, rel. 442
- 2θ = 47.6°, rel. 430

Structure:
abc: 8.508 7.447 7.388
angles: 69.99 55.33 54.68
Element x y z (fractional)
Ce1 0.124 0.286 0.288
Ce2 0.199 0.712 0.714
Ce3 0.286 0.124 0.801
Ce4 0.288 0.801 0.124
Ce5 0.712 0.199 0.876
Ce6 0.714 0.876 0.199
Ce7 0.801 0.288 0.286
Ce8 0.876 0.714 0.712
Ga1 0.375 0.375 0.375
Ga2 0.625 0.625 0.625
C1 0.000 0.000 0.000
C2 0.000 0.000 0.500
C3 0.000 0.500 0.000
C4 0.500 0.000 0.000

***

No. 5
Diffraction record for Ce4Ga2C. The XRD peak list is theoretical, not measured: it uses a structure optimized by DFT (GGA-PBE) and Cu Kα.
Intensities are scaled so that the largest is 1000.

Main lines, in order of falling intensity (2θ = 10–90°):
- 2θ = 28.4°, rel. 1000
- 2θ = 35.3°, rel. 928
- 2θ = 36.7°, rel. 726
- 2θ = 52.4°, rel. 362
- 2θ = 65.2°, rel. 308
- 2θ = 36.0°, rel. 267

Structure:
abc: 8.249 8.249 8.249
angles: 145.48 145.48 49.62
Element x y z (fractional)
Ce1 0.000 0.500 0.500
Ce2 0.169 0.169 0.000
Ce3 0.500 0.000 0.500
Ce4 0.831 0.831 0.000
Ga1 0.370 0.370 0.000
Ga2 0.630 0.630 0.000
C1 0.000 0.000 0.000

***

No. 6
Diffraction record for Ce5Ge4C. The XRD peak list is theoretical, not measured: it uses a structure optimized by DFT (GGA-PBE) and Cu Kα.
Intensities are scaled so that the largest is 1000.

Main lines, in order of falling intensity (2θ = 10–90°):
- 2θ = 30.9°, rel. 1000
- 2θ = 43.6°, rel. 756
- 2θ = 30.0°, rel. 557
- 2θ = 26.4°, rel. 452
- 2θ = 54.4°, rel. 323
- 2θ = 44.2°, rel. 309

Structure:
abc: 7.127 7.127 7.127
angles: 100.05 100.05 130.63
Element x y z (fractional)
Ce1 0.000 0.000 0.000
Ce2 0.198 0.373 0.638
Ce3 0.373 0.735 0.175
Ce4 0.560 0.198 0.825
Ce5 0.735 0.560 0.362
Ge1 0.047 0.655 0.778
Ge2 0.270 0.047 0.393
Ge3 0.655 0.877 0.607
Ge4 0.877 0.270 0.222
C1 0.405 0.405 0.000